Starting from a structure optimized by DFT (PBE), the powder diffraction line list of HoErInCo was computed for Cu Kα X-rays.
Peak positions follow from Bragg's law for the DFT cell and can differ from measured ones.

The 10 most intense peaks (2θ from 10° to 90°), sorted by position:
d/Å, 2theta, Rel. int.
3.343, 26.67, 10
3.082, 28.97, 16
2.653, 33.78, 12
2.560, 35.06, 100
2.364, 38.07, 49
1.765, 51.80, 14
1.671, 54.93, 17
1.522, 60.85, 10
1.437, 64.87, 12
1.400, 66.85, 30

Atomic structure:
```
data_HoErInCo
_space_group_name_H-M_alt 'P 4 m m'
_space_group_IT_number 99
_cell_length_a 3.3429
_cell_length_b 3.3429
_cell_length_c 7.9598
_cell_angle_alpha 90.00
_cell_angle_beta 90.00
_cell_angle_gamma 90.00
loop_
_space_group_symop_operation_xyz
'x,y,z'
'-y,x,z'
'-x,-y,z'
'y,-x,z'
'-x,y,z'
'y,x,z'
'x,-y,z'
'-y,-x,z'
loop_
_atom_site_label
_atom_site_type_symbol
_atom_site_fract_x
_atom_site_fract_y
_atom_site_fract_z
_atom_site_occupancy
Ho1 Ho 0.0000 0.0000 0.0000 1
Er1 Er 0.0000 0.0000 0.5887 1
In1 In 0.5000 0.5000 0.2953 1
Co1 Co 0.5000 0.5000 0.7926 1
```

Starting from a structure optimized by DFT (PBE), the powder diffraction line list of HoErMnCo was computed for Cu Kα X-rays.
Peak positions follow from Bragg's law for the DFT cell and can differ from measured ones.

The 8 most intense peaks (2θ from 10° to 90°), sorted by position:
d/Å, 2theta, Rel. int.
3.427, 26.00, 27
2.423, 37.10, 100
1.979, 45.86, 8
1.714, 53.47, 17
1.533, 60.40, 12
1.399, 66.87, 35
1.212, 79.03, 11
1.142, 84.89, 6

Atomic structure:
```
data_HoErMnCo
_space_group_name_H-M_alt 'F -4 3 m'
_space_group_IT_number 216
_space_group_name_Hall 'F -4 2 3'
_cell_length_a 6.8541
_cell_length_b 6.8541
_cell_length_c 6.8541
_cell_angle_alpha 90.00
_cell_angle_beta 90.00
_cell_angle_gamma 90.00
loop_
_atom_site_label
_atom_site_type_symbol
_atom_site_fract_x
_atom_site_fract_y
_atom_site_fract_z
_atom_site_occupancy
Ho1 Ho 0.0000 0.0000 0.0000 1
Er1 Er 0.0000 0.0000 0.5000 1
Mn1 Mn 0.2500 0.2500 0.2500 1
Co1 Co 0.2500 0.2500 0.7500 1
```

Starting from a structure optimized by DFT (PBE), the powder diffraction line list of Er6InCo was computed for Cu Kα X-rays.
Peak positions follow from Bragg's law for the DFT cell and can differ from measured ones.

The 10 most intense peaks (2θ from 10° to 90°), sorted by position:
d/Å, 2theta, Rel. int.
2.996, 29.82, 75
2.939, 30.42, 73
2.921, 30.61, 78
2.888, 30.96, 100
2.573, 34.87, 94
2.545, 35.27, 53
2.509, 35.79, 72
2.375, 37.87, 36
1.647, 55.81, 34
1.561, 59.17, 36

Atomic structure:
```
data_Er6InCo
_space_group_name_H-M_alt 'C 1 2/m 1'
_space_group_IT_number 12
_cell_length_a 7.9020
_cell_length_b 9.7726
_cell_length_c 6.1758
_cell_angle_alpha 90.00
_cell_angle_beta 105.15
_cell_angle_gamma 90.00
loop_
_space_group_symop_operation_xyz
'x,y,z'
'-x,-y,-z'
'-x,y,-z'
'x,-y,z'
'x+1/2,y+1/2,z'
'-x+1/2,-y+1/2,-z'
'-x+1/2,y+1/2,-z'
'x+1/2,-y+1/2,z'
loop_
_atom_site_label
_atom_site_type_symbol
_atom_site_fract_x
_atom_site_fract_y
_atom_site_fract_z
_atom_site_occupancy
Er1 Er 0.1076 0.1870 0.2874 1
Er2 Er 0.2166 0.5000 0.1163 1
In1 In 0.0000 0.5000 0.5000 1
Co1 Co 0.0000 0.0000 0.0000 1
```

Starting from a structure optimized by DFT (PBE), the powder diffraction line list of Er5In2Co was computed for Cu Kα X-rays.
Peak positions follow from Bragg's law for the DFT cell and can differ from measured ones.

The 10 most intense peaks (2θ from 10° to 90°), sorted by position:
d/Å, 2theta, Rel. int.
3.323, 26.83, 22
2.843, 31.47, 58
2.808, 31.87, 65
2.741, 32.67, 100
2.645, 33.90, 30
2.587, 34.68, 50
2.557, 35.10, 20
2.406, 37.38, 53
1.826, 49.94, 24
1.780, 51.34, 19

Atomic structure:
```
data_Er5In2Co
_space_group_name_H-M_alt 'P b a m'
_space_group_IT_number 55
_cell_length_a 6.9323
_cell_length_b 12.2730
_cell_length_c 4.8112
_cell_angle_alpha 90.00
_cell_angle_beta 90.00
_cell_angle_gamma 90.00
loop_
_space_group_symop_operation_xyz
'x,y,z'
'-x,-y,-z'
'-x,-y,z'
'x,y,-z'
'x+1/2,-y+1/2,-z'
'-x+1/2,y+1/2,z'
'-x+1/2,y+1/2,-z'
'x+1/2,-y+1/2,z'
loop_
_atom_site_label
_atom_site_type_symbol
_atom_site_fract_x
_atom_site_fract_y
_atom_site_fract_z
_atom_site_occupancy
Er1 Er 0.0000 0.0000 0.0000 1
Er2 Er 0.1147 0.2925 0.0000 1
Er3 Er 0.1762 0.5822 0.5000 1
In1 In 0.1084 0.8397 0.5000 1
Co1 Co 0.0000 0.5000 0.0000 1
```